The following is a simulated powder XRD pattern of Li4CrO5. It was derived from a crystal structure in Alexandria, relaxed with GGA+U, using Cu Kα.

Atomic structure:
```
data_Li4CrO5
_cell_length_a 4.9385
_cell_length_b 5.5694
_cell_length_c 7.6307
_cell_angle_alpha 94.30
_cell_angle_beta 106.47
_cell_angle_gamma 115.11
_space_group_name_H-M_alt 'P 1'
_space_group_IT_number 1
loop_
_space_group_symop_operation_xyz
'x,y,z'
loop_
_atom_site_label
_atom_site_type_symbol
_atom_site_fract_x
_atom_site_fract_y
_atom_site_fract_z
Li1 Li 0.0000 0.0000 0.0000
Li2 Li 0.0738 0.4399 0.7136
Li3 Li 0.2368 0.0183 0.4008
Li4 Li 0.3163 0.5004 0.1050
Li5 Li 0.5000 0.5000 0.5000
Li6 Li 0.6837 0.4996 0.8950
Li7 Li 0.7632 0.9817 0.5992
Li8 Li 0.9262 0.5601 0.2864
Cr1 Cr 0.3152 0.9454 0.7577
Cr2 Cr 0.6848 0.0546 0.2423
O1 O 0.0058 0.2377 0.4422
O2 O 0.1765 0.7587 0.9208
O3 O 0.2276 0.2061 0.8437
O4 O 0.4114 0.7861 0.3304
O5 O 0.4624 0.2367 0.2527
O6 O 0.5376 0.7633 0.7473
O7 O 0.5886 0.2139 0.6696
O8 O 0.7724 0.7939 0.1563
O9 O 0.8235 0.2413 0.0792
O10 O 0.9942 0.7623 0.5578
```

Top 6 peaks for 5° ≤ 2θ ≤ 70°, low angle first:
- (0 1 0), 18.05 deg, I = 1000
- (1 0 -1), 20.49 deg, I = 954
- (0 0 2), 24.98 deg, I = 491
- (1 0 2), 38.45 deg, I = 354
- (-2 2 1), 41.48 deg, I = 337
- (1 1 -3), 41.58 deg, I = 341